# Cs3Na2MnF9
Theoretical PXRD pattern, Cu Ka. Input: the GGA+U geometry in Alexandria.

Crystal structure
```
data_Cs3Na2MnF9
_chemical_formula_sum 'Cs3 Na2 Mn1 F9'
_space_group_name_H-M_alt 'P -3 m 1'
_space_group_IT_number 164
_space_group_name_Hall '-P 3 2"'
_cell_length_a 6.4246
_cell_length_b 6.4246
_cell_length_c 7.8776
_cell_angle_alpha 90.00
_cell_angle_beta 90.00
_cell_angle_gamma 120.00
loop_
_atom_site_label
_atom_site_type_symbol
_atom_site_fract_x
_atom_site_fract_y
_atom_site_fract_z
Cs1 Cs 0.0000 0.0000 0.0000
Cs2 Cs 0.3333 0.6667 0.7042
Na1 Na 0.3333 0.6667 0.1496
Mn1 Mn 0.0000 0.0000 0.5000
F1 F 0.0000 0.5000 0.0000
F2 F 0.1369 0.2739 0.3650
```

Most intense lines, 2θ from 10° to 90°, in order of rising 2θ:
(hkl)	Position (°2θ)	I/Imax
1 0 1	19.5	34
1 1 0	27.8	100
0 2 1	34.2	36
2 0 2	39.7	38
3 0 0	49.1	35
2 2 0	57.3	20